# Ce4Sb6Rh7
Computed X-ray diffraction stick pattern, copper Kα. Input: a GGA-PBE-relaxed structure.
Neutral-atom scattering factors, no anomalous dispersion.

Most intense lines, 15 to 90 degrees two-theta, sorted by position:
2θ = 28.4°, I = 14; 2θ = 31.8°, I = 11; 2θ = 34.9°, I = 100; 2θ = 37.8°, I = 16; 2θ = 40.6°, I = 62; 2θ = 43.1°, I = 19; 2θ = 48.0°, I = 19; 2θ = 58.7°, I = 30; 2θ = 66.5°, I = 10; 2θ = 70.2°, I = 23; 2θ = 72.0°, I = 12; 2θ = 79.1°, I = 11

Atomic structure:
Cell: 7.7045 7.7045 7.7045 Å, 109.47 109.47 109.47°
Element x y z (fractional)
1 Ce 0.0000 0.0000 0.5000
2 Ce 0.0000 0.5000 0.0000
3 Ce 0.5000 0.0000 0.0000
4 Ce 0.5000 0.5000 0.5000
5 Sb 0.0000 0.3167 0.3167
6 Sb 0.0000 0.6833 0.6833
7 Sb 0.3167 0.0000 0.3167
8 Sb 0.3167 0.3167 0.0000
9 Sb 0.6833 0.0000 0.6833
10 Sb 0.6833 0.6833 0.0000
11 Rh 0.0000 0.0000 0.0000
12 Rh 0.2500 0.5000 0.7500
13 Rh 0.2500 0.7500 0.5000
14 Rh 0.5000 0.2500 0.7500
15 Rh 0.5000 0.7500 0.2500
16 Rh 0.7500 0.2500 0.5000
17 Rh 0.7500 0.5000 0.2500


# La2HoTm3
Computed X-ray diffraction stick pattern, copper Kα. Input: a GGA-PBE-relaxed structure.
Neutral-atom scattering factors, no anomalous dispersion.

Most intense lines, 15 to 90 degrees two-theta, sorted by position:
2θ = 25.6°, I = 5; 2θ = 31.4°, I = 100; 2θ = 40.9°, I = 9; 2θ = 45.0°, I = 17; 2θ = 52.5°, I = 4; 2θ = 55.9°, I = 19; 2θ = 56.0°, I = 10; 2θ = 62.5°, I = 9; 2θ = 62.5°, I = 9; 2θ = 65.6°, I = 4; 2θ = 74.5°, I = 4; 2θ = 80.3°, I = 6

Atomic structure:
Cell: 6.6696 6.6789 8.9992 Å, 97.65 97.77 95.27°
Element x y z (fractional)
1 La 0.1255 0.1248 0.3751
2 La 0.3754 0.3747 0.1250
3 La 0.6246 0.6253 0.8750
4 La 0.8745 0.8752 0.6249
5 Ho 0.0805 0.4135 0.7487
6 Ho 0.9195 0.5865 0.2513
7 Tm 0.1650 0.8321 0.9967
8 Tm 0.3351 0.6680 0.5030
9 Tm 0.4199 0.0858 0.7513
10 Tm 0.5801 0.9142 0.2487
11 Tm 0.6649 0.3320 0.4970
12 Tm 0.8350 0.1679 0.0033


# Ge3PbBr8
Computed X-ray diffraction stick pattern, copper Kα. Input: a GGA-PBE-relaxed structure.
Neutral-atom scattering factors, no anomalous dispersion.

Most intense lines, 15 to 90 degrees two-theta, sorted by position:
2θ = 25.0°, I = 24; 2θ = 25.1°, I = 13; 2θ = 29.9°, I = 100; 2θ = 30.3°, I = 49; 2θ = 38.9°, I = 16; 2θ = 42.3°, I = 18; 2θ = 42.8°, I = 36; 2θ = 43.3°, I = 53; 2θ = 52.4°, I = 9; 2θ = 53.8°, I = 18; 2θ = 62.2°, I = 11; 2θ = 79.5°, I = 14

Atomic structure:
Cell: 8.3514 8.3514 8.5464 Å, 119.98 119.98 60.01°
Element x y z (fractional)
1 Ge 0.0000 0.0000 0.0000
2 Ge 0.0000 0.5000 0.0000
3 Ge 0.5000 0.0000 0.0000
4 Pb 0.5000 0.5000 0.0000
5 Br 0.2252 0.7572 0.2343
6 Br 0.2434 0.2434 0.2250
7 Br 0.2428 0.2428 0.7658
8 Br 0.2428 0.7748 0.7657
9 Br 0.7572 0.2252 0.2343
10 Br 0.7572 0.7572 0.2342
11 Br 0.7566 0.7566 0.7750
12 Br 0.7748 0.2428 0.7657


# BaMgHPb
Computed X-ray diffraction stick pattern, copper Kα. Input: a GGA-PBE-relaxed structure.
Neutral-atom scattering factors, no anomalous dispersion.

Most intense lines, 15 to 90 degrees two-theta, sorted by position:
2θ = 19.6°, I = 35; 2θ = 28.9°, I = 100; 2θ = 34.2°, I = 50; 2θ = 43.0°, I = 9; 2θ = 45.4°, I = 30; 2θ = 47.7°, I = 7; 2θ = 56.1°, I = 25; 2θ = 58.1°, I = 29; 2θ = 61.3°, I = 9; 2θ = 70.3°, I = 8; 2θ = 77.8°, I = 10; 2θ = 79.5°, I = 12

Atomic structure:
Cell: 5.2385 5.2385 4.2063 Å, 90.00 90.00 120.00°
Element x y z (fractional)
1 Ba 0.0000 0.0000 0.0000
2 Mg 0.6667 0.3333 0.5000
3 H 0.6667 0.3333 0.0000
4 Pb 0.3333 0.6667 0.5000


# Nd2Sm3Y7
Computed X-ray diffraction stick pattern, copper Kα. Input: a GGA-PBE-relaxed structure.
Neutral-atom scattering factors, no anomalous dispersion.

Most intense lines, 15 to 90 degrees two-theta, sorted by position:
2θ = 28.3°, I = 23; 2θ = 30.3°, I = 33; 2θ = 30.5°, I = 68; 2θ = 30.8°, I = 100; 2θ = 31.2°, I = 43; 2θ = 31.4°, I = 44; 2θ = 32.0°, I = 22; 2θ = 33.0°, I = 34; 2θ = 34.3°, I = 38; 2θ = 50.5°, I = 22; 2θ = 53.7°, I = 36; 2θ = 60.2°, I = 23

Atomic structure:
Cell: 5.8789 3.6112 18.9499 Å, 90.00 93.32 90.00°
Element x y z (fractional)
1 Nd 0.2080 0.0000 0.2931
2 Nd 0.7920 0.0000 0.7069
3 Sm 0.0000 0.0000 0.0000
4 Sm 0.2786 0.5000 0.6318
5 Sm 0.7214 0.5000 0.3682
6 Y 0.1866 0.5000 0.1423
7 Y 0.2421 0.0000 0.4620
8 Y 0.3104 0.0000 0.8255
9 Y 0.5000 0.5000 0.0000
10 Y 0.6896 0.0000 0.1745
11 Y 0.7579 0.0000 0.5380
12 Y 0.8134 0.5000 0.8577


# CsBaB12
Computed X-ray diffraction stick pattern, copper Kα. Input: a GGA-PBE-relaxed structure.
Neutral-atom scattering factors, no anomalous dispersion.

Most intense lines, 15 to 90 degrees two-theta, sorted by position:
2θ = 20.6°, I = 58; 2θ = 29.3°, I = 100; 2θ = 36.1°, I = 42; 2θ = 41.9°, I = 21; 2θ = 47.1°, I = 49; 2θ = 51.9°, I = 26; 2θ = 60.7°, I = 10; 2θ = 64.8°, I = 29; 2θ = 68.8°, I = 20; 2θ = 72.7°, I = 13; 2θ = 80.2°, I = 8; 2θ = 83.9°, I = 17

Atomic structure:
Cell: 6.1001 6.1001 6.1001 Å, 60.00 60.00 60.00°
Element x y z (fractional)
1 Cs 0.0000 0.0000 0.0000
2 Ba 0.5000 0.5000 0.5000
3 B 0.1018 0.1018 0.3982
4 B 0.1018 0.3982 0.1018
5 B 0.1018 0.3982 0.3982
6 B 0.3982 0.1018 0.1018
7 B 0.3982 0.1018 0.3982
8 B 0.3982 0.3982 0.1018
9 B 0.6018 0.6018 0.8982
10 B 0.6018 0.8982 0.6018
11 B 0.6018 0.8982 0.8982
12 B 0.8982 0.6018 0.6018
13 B 0.8982 0.6018 0.8982
14 B 0.8982 0.8982 0.6018